# Zr6CoSn2
Calculated X-ray diffraction stick pattern, Cu Kα (weighted mean of Kα1 and Kα2). Input: a crystal structure in the Materials Project, relaxed with PBE.

Cell and atoms:
a = 7.9978 Å, b = 7.9978 Å, c = 3.5035 Å
α = 90.00°, β = 90.00°, γ = 120.00°
Space group P-62m (No. 189)
One atom of each set of equivalent atoms:
Zr 0.0000 0.2417 0.0000 [3 per cell]
Zr 0.0000 0.6024 0.5000 [3 per cell]
Co 0.0000 0.0000 0.5000 [1 per cell]
Sn 0.3333 0.6667 0.0000 [2 per cell]

Most intense lines, 2θ from 10° to 90°, in order of rising 2θ:
2theta, d (Å), Rel. int.
34.0, 2.635, 100
34.3, 2.618, 67
36.5, 2.463, 77
39.0, 2.309, 50
43.1, 2.097, 42
52.2, 1.752, 19
63.9, 1.456, 21
64.4, 1.447, 32
67.1, 1.396, 20
67.5, 1.388, 19